Structure and calculated powder diffractogram of Na2Mg5Tl12 (DFT lattice parameters and positions (PBE); Cu Ka).
Lines closer than 0.1° are merged.

Top 6 peaks for 2θ = 10–90°, by angle:
| 2theta | Rel. int. |
| --- | --- |
| 27.0 | 61 |
| 28.3 | 53 |
| 28.9 | 33 |
| 30.8 | 34 |
| 31.3 | 100 |
| 35.7 | 80 |

Structure:
```
Na2Mg5Tl12
1.0
9.3729 -3.8739 0.0000
9.3729 3.8739 0.0000
-1.1704 0.0000 7.5137
Na Mg Tl
2 5 12
Direct
0.2336 0.7664 0.0000
0.7664 0.2336 0.0000
0.0000 0.0000 0.5000
0.2369 0.2369 0.5355
0.3462 0.3462 0.9179
0.6538 0.6538 0.0821
0.7631 0.7631 0.4645
0.0623 0.4663 0.2078
0.1194 0.1194 0.8317
0.1584 0.6292 0.6106
0.3708 0.8416 0.3894
0.4428 0.4428 0.2918
0.4663 0.0623 0.2078
0.5337 0.9377 0.7922
0.5572 0.5572 0.7082
0.6292 0.1584 0.6106
0.8416 0.3708 0.3894
0.8806 0.8806 0.1683
0.9377 0.5337 0.7922
```